Theoretical X-ray powder pattern
Compound: Cs3Li2F5
Radiation: copper Kα
Structure: a structure optimized by DFT (PBE)
Peak positions follow from Bragg's law for the DFT cell and can differ from measured ones.

Structural model:
```
Cs3Li2F5
1.0
0.000 11.323 3.016
2.989 0.000 3.016
2.989 11.323 0.000
Cs Li F
3 2 5
Cartesian
0.000 0.000 0.000
2.989 8.222 3.003
2.989 14.424 3.003
2.989 4.970 3.100
2.989 17.676 3.100
2.989 3.082 2.981
1.494 5.661 1.113
2.989 11.323 3.020
4.483 16.984 4.129
2.989 19.564 2.981
```

Main lines, in order of rising 2θ (5° ≤ 2θ ≤ 70°):
2θ 23.57, I 174; 2θ 24.05, I 1000; 2θ 28.82, I 317; 2θ 29.62, I 333; 2θ 29.90, I 305; 2θ 31.61, I 288; 2θ 38.42, I 170; 2θ 42.59, I 302; 2θ 49.21, I 283; 2θ 53.99, I 222